1.
# SrLi2Ta2O7
Computed XRD peak list, Cu Kα (λ = 1.5418 Å). Input: the GGA-PBE geometry in the Materials Project.
Intensities are scaled so that the largest is 100.

Most intense lines, 2θ = 10–80°, low angle first:
- (0 0 4), 2θ = 19.2°, intensity 46
- (1 0 1), 2θ = 22.8°, intensity 74
- (1 0 3), 2θ = 26.6°, intensity 100
- (1 1 0), 2θ = 31.8°, intensity 67
- (1 0 5), 2θ = 33.0°, intensity 92
- (2 0 0), 2θ = 45.6°, intensity 45

Cell and atoms:
Cell: 3.9827 3.9827 18.5366 Å, 90.00 90.00 90.00°
Space group I4/mmm (No. 139)
Symmetry-distinct sites (fractional):
Sr 0.0000 0.0000 0.0000 x2
Li 0.0000 0.5000 0.2500 x4
Ta 0.0000 0.0000 0.3859 x4
O 0.0000 0.0000 0.2837 x4
O 0.0000 0.0000 0.5000 x2
O 0.0000 0.5000 0.1037 x8

2.
# Sr3Li6Ta2O11
Computed XRD peak list, Cu Kα (λ = 1.5418 Å). Input: the GGA-PBE geometry in the Materials Project.
Intensities are scaled so that the largest is 100.

Most intense lines, 2θ = 10–80°, low angle first:
- (2 1 0), 2θ = 19.7°, intensity 67
- (1 1 1), 2θ = 20.2°, intensity 100
- (2 1 1), 2θ = 24.9°, intensity 65
- (2 2 1), 2θ = 31.0°, intensity 96
- (2 0 2), 2θ = 34.8°, intensity 53
- (0 4 0), 2θ = 42.9°, intensity 57

Cell and atoms:
Cell: 10.6796 8.4325 5.8790 Å, 90.00 90.00 90.00°
Space group Pmma (No. 51)
Symmetry-distinct sites (fractional):
Sr 0.0000 0.2369 0.0000 x4
Sr 0.2500 0.5000 0.1168 x2
Li 0.0000 0.1451 0.5000 x4
Li 0.2500 0.1835 0.2814 x4
Li 0.2500 0.3540 0.6482 x4
Ta 0.0000 0.5000 0.5000 x2
Ta 0.2500 0.0000 0.7650 x2
O 0.0614 0.0000 0.7535 x4
O 0.1069 0.5000 0.7807 x4
O 0.1102 0.3270 0.3671 x8
O 0.2500 0.0000 0.4457 x2
O 0.2500 0.1984 0.9316 x4

3.
# Sr2LiTeO6
Computed XRD peak list, Cu Kα (λ = 1.5418 Å). Input: the GGA-PBE geometry in the Materials Project.
Intensities are scaled so that the largest is 100.

Most intense lines, 2θ = 10–80°, low angle first:
- (1 0 -2), 2θ = 19.1°, intensity 49
- (0 2 0), 2θ = 31.5°, intensity 100
- (1 2 -2), 2θ = 37.1°, intensity 16
- (2 2 -2), 2θ = 45.2°, intensity 25
- (3 1 -5), 2θ = 56.0°, intensity 27
- (2 2 2), 2θ = 65.6°, intensity 15

Cell and atoms:
Cell: 5.6793 5.6797 9.8612 Å, 90.00 125.08 90.00°
Space group P2_1/c (No. 14)
Symmetry-distinct sites (fractional):
Sr 0.2477 0.0010 0.2499 x4
Li 0.0000 0.0000 0.5000 x2
Te 0.5000 0.0000 0.0000 x2
O 0.2473 0.7236 0.5041 x4
O 0.2519 0.0001 0.7606 x4
O 0.2794 0.2436 0.5033 x4

4.
# Sr2LiTeO6
Computed XRD peak list, Cu Kα (λ = 1.5418 Å). Input: the GGA-PBE geometry in the Materials Project.
Intensities are scaled so that the largest is 100.

Most intense lines, 2θ = 10–80°, low angle first:
- (0 1 1), 2θ = 18.9°, intensity 77
- (1 0 -2), 2θ = 19.2°, intensity 28
- (0 2 0), 2θ = 30.7°, intensity 33
- (2 0 -2), 2θ = 31.2°, intensity 100
- (1 1 -3), 2θ = 31.5°, intensity 66
- (2 2 -2), 2θ = 44.4°, intensity 46

Cell and atoms:
Cell: 5.7302 5.8169 9.7782 Å, 90.00 125.09 90.00°
Space group P2_1/c (No. 14)
Symmetry-distinct sites (fractional):
Sr 0.2395 0.0327 0.2472 x4
Li 0.0000 0.0000 0.5000 x2
Te 0.5000 0.0000 0.0000 x2
O 0.2071 0.2036 0.9739 x4
O 0.2641 0.7372 0.9673 x4
O 0.3184 0.0143 0.7605 x4

5.
# SrLiU2O6
Computed XRD peak list, Cu Kα (λ = 1.5418 Å). Input: the GGA-PBE geometry in the Materials Project.
Intensities are scaled so that the largest is 100.

Most intense lines, 2θ = 10–80°, low angle first:
- (1 1 -1), 2θ = 27.4°, intensity 100
- (0 1 1), 2θ = 28.4°, intensity 91
- (1 0 -2), 2θ = 32.5°, intensity 45
- (1 2 0), 2θ = 46.3°, intensity 68
- (1 3 -2), 2θ = 54.4°, intensity 47
- (1 1 -4), 2θ = 56.0°, intensity 27

Cell and atoms:
Cell: 4.0000 5.5821 6.6605 Å, 114.67 107.45 90.02°
Space group P1 (No. 1)
Symmetry-distinct sites (fractional):
Sr 0.0000 0.0000 0.0000 x1
Li 0.6673 0.1672 0.3307 x1
U 0.3544 0.3525 0.7054 x1
U 0.6751 0.6806 0.3600 x1
O 0.1893 0.4422 0.3823 x1
O 0.1899 0.9394 0.3830 x1
O 0.5200 0.2895 0.0421 x1
O 0.5202 0.7521 0.0423 x1
O 0.8285 0.5615 0.6611 x1
O 0.8290 0.1020 0.6617 x1

6.
# SrLiU2O6
Computed XRD peak list, Cu Kα (λ = 1.5418 Å). Input: the GGA-PBE geometry in the Materials Project.
Intensities are scaled so that the largest is 100.

Most intense lines, 2θ = 10–80°, low angle first:
- (1 1 0), 2θ = 27.7°, intensity 100
- (0 1 3), 2θ = 28.1°, intensity 95
- (1 0 3), 2θ = 32.7°, intensity 44
- (1 2 3), 2θ = 46.1°, intensity 70
- (2 1 3), 2θ = 55.2°, intensity 30
- (1 1 6), 2θ = 55.8°, intensity 27

Cell and atoms:
Cell: 3.9097 5.6656 11.5179 Å, 90.00 90.00 90.00°
Space group Immm (No. 71)
Symmetry-distinct sites (fractional):
Sr 0.0000 0.0000 0.0000 x2
Li 0.0000 0.5000 0.0000 x2
U 0.0000 0.0000 0.3244 x4
O 0.0000 0.2120 0.5000 x4
O 0.0000 0.2703 0.1744 x8

7.
# Li2Ta2O3
Computed XRD peak list, Cu Kα (λ = 1.5418 Å). Input: the GGA-PBE geometry in the Materials Project.
Intensities are scaled so that the largest is 100.

Most intense lines, 2θ = 10–80°, low angle first:
- (0 1 -1), 2θ = 22.8°, intensity 100
- (1 0 -1), 2θ = 23.2°, intensity 98
- (1 1 2), 2θ = 28.2°, intensity 67
- (1 1 -2), 2θ = 32.6°, intensity 38
- (1 -1 0), 2θ = 32.9°, intensity 38
- (0 1 3), 2θ = 36.0°, intensity 30

Cell and atoms:
Cell: 4.8749 4.9726 8.5578 Å, 83.23 83.25 67.13°
Space group P1 (No. 1)
Symmetry-distinct sites (fractional):
Li 0.0000 0.0000 0.0000 x1
Li 0.2147 0.2602 0.2586 x1
Li 0.4633 0.4546 0.5227 x1
Li 0.7454 0.7234 0.7631 x1
Ta 0.1068 0.0545 0.6177 x1
Ta 0.3975 0.3668 0.9027 x1
Ta 0.5868 0.5828 0.1221 x1
Ta 0.8907 0.8881 0.3877 x1
O 0.2977 0.6127 0.3104 x1
O 0.3521 0.7005 0.7437 x1
O 0.4322 0.9935 0.0331 x1
O 0.4751 0.0410 0.4781 x1
O 0.7537 0.1250 0.7635 x1
O 0.8550 0.1800 0.2095 x1

8.
# LiTaO3
Computed XRD peak list, Cu Kα (λ = 1.5418 Å). Input: the GGA-PBE geometry in the Materials Project.
Intensities are scaled so that the largest is 100.

Most intense lines, 2θ = 10–80°, low angle first:
- (1 1 0), 2θ = 17.6°, intensity 100
- (1 1 1), 2θ = 23.6°, intensity 42
- (2 0 0), 2θ = 26.4°, intensity 24
- (0 2 1), 2θ = 28.3°, intensity 24
- (1 1 2), 2θ = 36.3°, intensity 27
- (1 3 1), 2θ = 41.3°, intensity 28

Cell and atoms:
Cell: 6.7512 7.5970 5.6825 Å, 90.00 90.00 90.00°
Space group Cmcm (No. 63)
Symmetry-distinct sites (fractional):
Li 0.0000 0.0000 0.0000 x4
Ta 0.0000 0.4206 0.2500 x4
O 0.0000 0.1831 0.2500 x4
O 0.1868 0.5000 0.0000 x8